For Li9Co7O16, a cell relaxed with GGA+U gives the calculated powder diffractogram in this record (Cu Kα (λ = 1.5418 Å)).

Largest 6 diffraction maxima, in order of rising 2θ, 2θ from 10° to 90°:
| 2θ/deg | d_spacing | intensity | (hkl) |
| --- | --- | --- | --- |
| 18.83 | 4.714 | 100 | 0 1 -1 |
| 37.09 | 2.424 | 25 | 2 0 -1 |
| 37.16 | 2.419 | 13 | 0 2 2 |
| 44.87 | 2.020 | 50 | 0 3 1 |
| 44.97 | 2.016 | 25 | 2 1 -2 |
| 64.90 | 1.437 | 13 | 2 4 -1 |

Cell and atoms:
Lattice parameters (Å, degrees): 5.689 6.411 7.546 86.10 78.97 77.16
Space group P-1 (No. 2)
Inequivalent atoms, fractional coordinates:
Li1 0.000 0.000 0.000 [1 per cell]
Li2 0.062 0.124 0.628 [2 per cell]
Li3 0.184 0.372 0.876 [2 per cell]
Li4 0.308 0.630 0.125 [2 per cell]
Li5 0.438 0.876 0.375 [2 per cell]
Co1 0.125 0.249 0.247 [2 per cell]
Co2 0.250 0.500 0.500 [2 per cell]
Co3 0.370 0.753 0.754 [2 per cell]
Co4 0.500 0.000 0.000 [1 per cell]
O1 0.034 0.544 0.326 [2 per cell]
O2 0.098 0.691 0.917 [2 per cell]
O3 0.156 0.796 0.578 [2 per cell]
O4 0.233 0.956 0.180 [2 per cell]
O5 0.301 0.044 0.821 [2 per cell]
O6 0.343 0.208 0.423 [2 per cell]
O7 0.410 0.294 0.073 [2 per cell]
O8 0.467 0.459 0.674 [2 per cell]



For Mg14CuNiO16, a cell relaxed with GGA+U gives the calculated powder diffractogram in this record (Cu Kα (λ = 1.5418 Å)).

Largest 6 diffraction maxima, in order of rising 2θ, 2θ from 10° to 90°:
| 2θ/deg | d_spacing | intensity | (hkl) |
| --- | --- | --- | --- |
| 36.58 | 2.457 | 30 | 2 2 1 |
| 42.43 | 2.130 | 100 | 4 0 0 |
| 42.60 | 2.122 | 49 | 0 0 2 |
| 61.57 | 1.506 | 28 | 4 4 0 |
| 61.70 | 1.503 | 56 | 4 0 2 |
| 77.75 | 1.228 | 26 | 4 4 2 |

Cell and atoms:
Lattice parameters (Å, degrees): 8.521 8.521 4.244 90.00 90.00 90.00
Space group P4/mmm (No. 123)
Inequivalent atoms, fractional coordinates:
Mg1 0.000 0.249 0.000 [4 per cell]
Mg2 0.000 0.500 0.500 [2 per cell]
Mg3 0.250 0.250 0.500 [4 per cell]
Mg4 0.250 0.500 0.000 [4 per cell]
Cu1 0.500 0.500 0.500 [1 per cell]
Ni1 0.000 0.000 0.500 [1 per cell]
O1 0.000 0.000 0.000 [1 per cell]
O2 0.000 0.250 0.500 [4 per cell]
O3 0.000 0.500 0.000 [2 per cell]
O4 0.246 0.500 0.500 [4 per cell]
O5 0.250 0.250 0.000 [4 per cell]
O6 0.500 0.500 0.000 [1 per cell]



For FeOF, a cell relaxed with GGA+U gives the calculated powder diffractogram in this record (Cu Kα (λ = 1.5418 Å)).

Largest 6 diffraction maxima, in order of rising 2θ, 2θ from 10° to 90°:
| 2θ/deg | d_spacing | intensity | (hkl) |
| --- | --- | --- | --- |
| 25.36 | 3.511 | 100 | 1 1 1 |
| 27.58 | 3.234 | 88 | -1 1 1 |
| 34.67 | 2.587 | 97 | 1 -1 2 |
| 50.99 | 1.791 | 48 | 2 0 3 |
| 53.54 | 1.712 | 24 | 2 -2 1 |
| 66.21 | 1.411 | 30 | 3 1 -2 |

Cell and atoms:
Lattice parameters (Å, degrees): 4.772 5.680 7.807 85.05 87.19 86.00
Space group P1 (No. 1)
Inequivalent atoms, fractional coordinates:
Fe1 0.000 0.000 0.000 [1 per cell]
Fe2 0.003 0.636 0.320 [1 per cell]
Fe3 0.478 0.831 0.674 [1 per cell]
Fe4 0.501 0.489 0.985 [1 per cell]
Fe5 0.519 0.198 0.334 [1 per cell]
Fe6 0.983 0.326 0.646 [1 per cell]
O1 0.291 0.794 0.898 [1 per cell]
O2 0.304 0.461 0.216 [1 per cell]
O3 0.309 0.125 0.559 [1 per cell]
O4 0.695 0.535 0.758 [1 per cell]
O5 0.698 0.195 0.093 [1 per cell]
O6 0.809 0.373 0.427 [1 per cell]
F1 0.179 0.949 0.231 [1 per cell]
F2 0.189 0.289 0.885 [1 per cell]
F3 0.193 0.630 0.553 [1 per cell]
F4 0.702 0.863 0.426 [1 per cell]
F5 0.796 0.703 0.099 [1 per cell]
F6 0.805 0.029 0.761 [1 per cell]



For Sr10Cu5MoW4O30, a cell relaxed with GGA+U gives the calculated powder diffractogram in this record (Cu Kα (λ = 1.5418 Å)).

Largest 6 diffraction maxima, in order of rising 2θ, 2θ from 10° to 90°:
| 2θ/deg | d_spacing | intensity | (hkl) |
| --- | --- | --- | --- |
| 19.19 | 4.626 | 24 | 1 0 5 |
| 31.13 | 2.873 | 100 | 1 1 10 |
| 32.48 | 2.757 | 48 | 2 0 0 |
| 46.60 | 1.949 | 27 | 2 2 0 |
| 54.52 | 1.683 | 22 | 2 0 20 |
| 57.10 | 1.613 | 40 | 3 1 10 |

Cell and atoms:
Lattice parameters (Å, degrees): 5.513 5.513 42.511 90.00 90.00 90.00
Space group I4/m (No. 87)
Inequivalent atoms, fractional coordinates:
Sr1 0.000 0.500 0.050 [8 per cell]
Sr2 0.000 0.500 0.150 [8 per cell]
Sr3 0.000 0.500 0.250 [4 per cell]
Cu1 0.000 0.000 0.000 [2 per cell]
Cu2 0.000 0.000 0.200 [4 per cell]
Cu3 0.000 0.000 0.400 [4 per cell]
Mo1 0.000 0.000 0.500 [2 per cell]
W1 0.000 0.000 0.100 [4 per cell]
W2 0.000 0.000 0.300 [4 per cell]
O1 0.000 0.000 0.054 [4 per cell]
O2 0.000 0.000 0.146 [4 per cell]
O3 0.000 0.000 0.254 [4 per cell]
O4 0.000 0.000 0.346 [4 per cell]
O5 0.000 0.000 0.454 [4 per cell]
O6 0.202 0.709 0.100 [16 per cell]
O7 0.202 0.709 0.300 [16 per cell]
O8 0.202 0.710 0.500 [8 per cell]



For Sc2V2O7, a cell relaxed with GGA+U gives the calculated powder diffractogram in this record (Cu Kα (λ = 1.5418 Å)).

Largest 6 diffraction maxima, in order of rising 2θ, 2θ from 10° to 90°:
| 2θ/deg | d_spacing | intensity | (hkl) |
| --- | --- | --- | --- |
| 31.59 | 2.832 | 100 | 2 2 2 |
| 36.64 | 2.453 | 10 | 4 0 0 |
| 52.79 | 1.734 | 63 | 4 4 0 |
| 62.84 | 1.479 | 35 | 6 2 2 |
| 77.91 | 1.226 | 7 | 8 0 0 |
| 86.48 | 1.125 | 13 | 6 6 2 |

Cell and atoms:
Lattice parameters (Å, degrees): 9.810 9.810 9.810 90.00 90.00 90.00
Space group Fd-3m (No. 227, origin choice 2)
Inequivalent atoms, fractional coordinates:
Sc1 0.000 0.000 0.000 [16 per cell]
V1 0.000 0.000 0.500 [16 per cell]
O1 0.089 0.375 0.875 [48 per cell]
O2 0.125 0.125 0.125 [8 per cell]



For CaMo2O4, a cell relaxed with GGA+U gives the calculated powder diffractogram in this record (Cu Kα (λ = 1.5418 Å)).

Largest 6 diffraction maxima, in order of rising 2θ, 2θ from 10° to 90°:
| 2θ/deg | d_spacing | intensity | (hkl) |
| --- | --- | --- | --- |
| 27.73 | 3.217 | 45 | 3 1 -2 |
| 31.11 | 2.874 | 57 | 3 1 2 |
| 31.56 | 2.835 | 100 | 0 2 4 |
| 33.52 | 2.674 | 55 | 2 0 -8 |
| 49.52 | 1.841 | 39 | 4 2 4 |
| 57.17 | 1.611 | 32 | 2 2 -12 |

Cell and atoms:
Lattice parameters (Å, degrees): 11.061 6.668 22.196 90.00 103.67 90.00
Space group Cm (No. 8)
Inequivalent atoms, fractional coordinates:
Ca1 0.000 0.000 0.000 [2 per cell]
Ca2 0.001 0.000 0.500 [2 per cell]
Ca3 0.005 0.500 0.250 [2 per cell]
Ca4 0.248 0.500 0.874 [2 per cell]
Ca5 0.254 0.000 0.126 [2 per cell]
Ca6 0.435 0.500 0.658 [2 per cell]
Ca7 0.436 0.000 0.405 [2 per cell]
Ca8 0.498 0.000 0.749 [2 per cell]
Mo1 0.064 0.000 0.844 [2 per cell]
Mo2 0.066 0.500 0.093 [2 per cell]
Mo3 0.072 0.500 0.597 [2 per cell]
Mo4 0.084 0.000 0.348 [2 per cell]
Mo5 0.250 0.248 0.750 [4 per cell]
Mo6 0.250 0.250 0.000 [4 per cell]
Mo7 0.253 0.000 0.627 [2 per cell]
Mo8 0.253 0.254 0.501 [4 per cell]
Mo9 0.254 0.250 0.250 [4 per cell]
Mo10 0.256 0.500 0.378 [2 per cell]
Mo11 0.434 0.000 0.906 [2 per cell]
Mo12 0.441 0.500 0.156 [2 per cell]
O1 0.121 0.261 0.812 [4 per cell]
O2 0.125 0.235 0.064 [4 per cell]
O3 0.132 0.231 0.568 [4 per cell]
O4 0.135 0.272 0.318 [4 per cell]
O5 0.137 0.500 0.953 [2 per cell]
O6 0.138 0.000 0.203 [2 per cell]
O7 0.148 0.000 0.697 [2 per cell]
O8 0.148 0.500 0.448 [2 per cell]
O9 0.154 0.000 0.444 [2 per cell]
O10 0.154 0.000 0.944 [2 per cell]
O11 0.156 0.500 0.694 [2 per cell]
O12 0.157 0.500 0.194 [2 per cell]
O13 0.345 0.000 0.808 [2 per cell]
O14 0.346 0.500 0.057 [2 per cell]
O15 0.348 0.500 0.554 [2 per cell]
O16 0.350 0.000 0.302 [2 per cell]
O17 0.359 0.500 0.304 [2 per cell]
O18 0.360 0.000 0.552 [2 per cell]
O19 0.363 0.214 0.685 [4 per cell]
O20 0.364 0.000 0.048 [2 per cell]
O21 0.365 0.500 0.797 [2 per cell]
O22 0.366 0.283 0.436 [4 per cell]
O23 0.375 0.263 0.937 [4 per cell]
O24 0.380 0.240 0.188 [4 per cell]



Repeat the first record exactly.
For Li9Co7O16, a cell relaxed with GGA+U gives the calculated powder diffractogram in this record (Cu Kα (λ = 1.5418 Å)).

Largest 6 diffraction maxima, in order of rising 2θ, 2θ from 10° to 90°:
| 2θ/deg | d_spacing | intensity | (hkl) |
| --- | --- | --- | --- |
| 18.83 | 4.714 | 100 | 0 1 -1 |
| 37.09 | 2.424 | 25 | 2 0 -1 |
| 37.16 | 2.419 | 13 | 0 2 2 |
| 44.87 | 2.020 | 50 | 0 3 1 |
| 44.97 | 2.016 | 25 | 2 1 -2 |
| 64.90 | 1.437 | 13 | 2 4 -1 |

Cell and atoms:
Lattice parameters (Å, degrees): 5.689 6.411 7.546 86.10 78.97 77.16
Space group P-1 (No. 2)
Inequivalent atoms, fractional coordinates:
Li1 0.000 0.000 0.000 [1 per cell]
Li2 0.062 0.124 0.628 [2 per cell]
Li3 0.184 0.372 0.876 [2 per cell]
Li4 0.308 0.630 0.125 [2 per cell]
Li5 0.438 0.876 0.375 [2 per cell]
Co1 0.125 0.249 0.247 [2 per cell]
Co2 0.250 0.500 0.500 [2 per cell]
Co3 0.370 0.753 0.754 [2 per cell]
Co4 0.500 0.000 0.000 [1 per cell]
O1 0.034 0.544 0.326 [2 per cell]
O2 0.098 0.691 0.917 [2 per cell]
O3 0.156 0.796 0.578 [2 per cell]
O4 0.233 0.956 0.180 [2 per cell]
O5 0.301 0.044 0.821 [2 per cell]
O6 0.343 0.208 0.423 [2 per cell]
O7 0.410 0.294 0.073 [2 per cell]
O8 0.467 0.459 0.674 [2 per cell]